Starting from a structure optimized by DFT (GGA-PBE), the powder diffractogram of ZrN2 was calculated for λ = 1.5418 Å (Cu Kα).
Neutral-atom scattering factors, no anomalous dispersion.

Cell lengths 3.7941, 4.3698, 4.1668 Å; angles 90.00, 90.00, 90.00 degrees
Space group Pmmn (No. 59, origin choice 2)
Asymmetric unit:
Zr1 0.2500 0.2500 0.2491
N1 0.2500 0.7500 0.1488
N2 0.2500 0.7500 0.5014

The 8 most intense peaks (15° ≤ 2θ ≤ 90°), by angle:
2theta  intensity  index
29.6  75  0 1 1
31.2  41  1 1 0
31.9  100  1 0 1
41.3  31  0 2 0
48.0  20  2 0 0
53.1  44  1 2 1
54.5  39  1 1 2
57.4  23  2 1 1